1.
Starting from a GGA-PBE-relaxed structure, the X-ray diffraction stick pattern of TmHgC2O8 was simulated for a wavelength of 1.5418 Å.

Structure:
a = 5.1165 Å, b = 5.1165 Å, c = 6.7511 Å
α = 90.00°, β = 90.00°, γ = 120.00°
Space group P-3m1 (No. 164)
Symmetry-distinct sites (fractional):
Tm 0.0000 0.0000 0.0000
Hg 0.0000 0.0000 0.5000
C 0.3333 0.6667 0.7201
O 0.1856 0.3713 0.7851
O 0.3333 0.6667 0.5156

Main lines, by angle (10° ≤ 2θ ≤ 80°):
2theta  I_rel  h k l
20.0  100.0  1 0 0
33.4  63.6  1 0 2
35.1  33.6  1 1 0
44.4  37.0  1 1 2
49.2  27.2  2 0 2
61.8  19.1  1 2 2

2.
Starting from a GGA-PBE-relaxed structure, the X-ray diffraction stick pattern of Li4Ti5O12 was simulated for a wavelength of 1.5418 Å.

Structure:
a = 5.3029 Å, b = 9.4552 Å, c = 9.9050 Å
α = 73.30°, β = 78.74°, γ = 79.20°
Space group P-1 (No. 2)
Symmetry-distinct sites (fractional):
Li 0.1235 0.4099 0.4059
Li 0.2710 0.9060 0.0224
Li 0.3123 0.7778 0.5544
Li 0.3319 0.5733 0.1133
Ti 0.1399 0.5955 0.8481
Ti 0.1660 0.0987 0.6764
Ti 0.1902 0.2599 0.9334
Ti 0.2847 0.1010 0.2744
Ti 0.4331 0.4107 0.6458
O 0.0519 0.2620 0.3026
O 0.0597 0.4263 0.7778
O 0.1043 0.1006 0.8616
O 0.1331 0.9316 0.3761
O 0.1554 0.7291 0.9530
O 0.2371 0.4239 0.0100
O 0.2652 0.5687 0.4837
O 0.3140 0.2609 0.5694
O 0.3484 0.1027 0.0882
O 0.4025 0.9301 0.6575
O 0.4553 0.5770 0.7294
O 0.4748 0.7285 0.1859

Main lines, by angle (10° ≤ 2θ ≤ 80°):
2theta  I_rel  h k l
18.4  100.0  1 0 1
21.1  30.5  1 -1 0
27.7  26.4  0 1 3
35.8  31.0  1 -1 3
42.5  42.8  1 -2 3
62.5  31.2  -1 4 5

3.
Starting from a GGA-PBE-relaxed structure, the X-ray diffraction stick pattern of Pm8NdEr5 was simulated for a wavelength of 1.5418 Å.

Structure:
a = 9.6008 Å, b = 9.6008 Å, c = 10.3553 Å
α = 90.00°, β = 90.00°, γ = 90.00°
Space group I-4 (No. 82)
Symmetry-distinct sites (fractional):
Pm 0.0697 0.3257 0.3991
Pm 0.0887 0.1770 0.7476
Nd 0.0000 0.5000 0.7500
Er 0.0000 0.0000 0.5000
Er 0.1104 0.2046 0.0723

Main lines, by angle (10° ≤ 2θ ≤ 80°):
2theta  I_rel  h k l
27.5  53.7  1 0 3
29.2  65.8  3 0 1
29.4  71.3  3 1 0
33.3  100.0  1 2 3
34.2  39.4  3 1 2
34.8  47.6  2 3 1